Structure and simulated powder X-ray diffraction pattern of Rb2Mn2HgI6 (the PBE geometry in Alexandria; Cu Kα (λ = 1.5418 Å)).
Intensities are scaled so that the largest is 100.

Crystal structure
```
Rb2Mn2HgI6
1.0
8.916 0.000 0.000
2.344 8.624 0.000
4.412 3.372 7.767
Rb Mn Hg I
2 2 1 6
Direct
0.246 0.247 0.082
0.754 0.753 0.918
0.423 0.422 0.529
0.577 0.578 0.471
0.000 0.000 0.000
0.118 0.501 0.707
0.440 0.437 0.248
0.498 0.881 0.293
0.502 0.119 0.707
0.560 0.563 0.752
0.882 0.499 0.293
```

Most intense lines, 2θ from 10° to 80°, by angle:
- hkl 0 1 0, 2θ 11.2, d 7.901, rel. 36.0
- hkl 0 1 1, 2θ 12.4, d 7.140, rel. 62.3
- hkl 1 1 2, 2θ 18.7, d 4.744, rel. 34.7
- hkl 0 1 -1, 2θ 18.9, d 4.684, rel. 27.0
- hkl 2 0 0, 2θ 22.5, d 3.949, rel. 56.2
- hkl 2 2 1, 2θ 26.0, d 3.433, rel. 73.6
- hkl 1 2 3, 2θ 29.4, d 3.037, rel. 100.0
- hkl 1 -2 1, 2θ 30.1, d 2.967, rel. 61.8
- hkl 3 0 2, 2θ 32.6, d 2.746, rel. 29.3
- hkl -1 4 3, 2θ 51.1, d 1.789, rel. 38.6